Structure and theoretical powder X-ray diffraction pattern of U6Se8Cl (a crystal structure in Alexandria, relaxed with PBE; λ = 1.5418 Å (Cu Kα)).
Peak positions follow from Bragg's law for the DFT cell and can differ from measured ones.

Principal peaks in the range 2θ from 15° to 90°, in order of rising 2θ:
d 5.183, intensity 17; d 3.465, intensity 24; d 3.289, intensity 24; d 2.882, intensity 100; d 2.076, intensity 40; d 2.002, intensity 32; d 1.645, intensity 19; d 1.441, intensity 13; d 1.308, intensity 15; d 1.271, intensity 17

Atomic structure:
```
U6Se8Cl
1.0
3.4683 2.0024 10.3661
-3.4683 2.0024 10.3661
0.0000 -4.0048 10.3661
U Se Cl
6 8 1
Direct
0.1173 0.4456 0.7738
0.2262 0.8827 0.5544
0.4456 0.7738 0.1173
0.5544 0.2262 0.8827
0.7738 0.1173 0.4456
0.8827 0.5544 0.2262
0.0553 0.7324 0.3939
0.1667 0.1667 0.1667
0.2676 0.6061 0.9447
0.3939 0.0553 0.7324
0.6061 0.9447 0.2676
0.7324 0.3939 0.0553
0.8333 0.8333 0.8333
0.9447 0.2676 0.6061
0.5000 0.5000 0.5000
```